The following is a theoretical X-ray diffraction stick pattern of Rb3InHg2. It was derived from a structure optimized by DFT (GGA-PBE), using Cu Kα.
Lines closer than 0.1° are merged.

Atomic structure:
abc: 7.3115 13.7684 12.0721
angles: 90.00 109.90 90.00
Element x y z (fractional)
Rb: 0.1668 0.2252 0.3220
Rb: 0.1668 0.2748 0.8220
Rb: 0.2287 0.6068 0.9872
Rb: 0.2287 0.8932 0.4872
Rb: 0.2773 0.5602 0.5983
Rb: 0.2773 0.9398 0.0983
Rb: 0.7227 0.0602 0.9017
Rb: 0.7227 0.4398 0.4017
Rb: 0.7713 0.1068 0.5128
Rb: 0.7713 0.3932 0.0128
Rb: 0.8332 0.7252 0.1780
Rb: 0.8332 0.7748 0.6780
In: 0.4211 0.6882 0.3349
In: 0.4211 0.8118 0.8349
In: 0.5789 0.1882 0.1651
In: 0.5789 0.3118 0.6651
Hg: 0.1837 0.5067 0.2723
Hg: 0.1837 0.9933 0.7723
Hg: 0.3429 0.1354 0.6272
Hg: 0.3429 0.3646 0.1272
Hg: 0.6571 0.6354 0.8728
Hg: 0.6571 0.8646 0.3728
Hg: 0.8163 0.0067 0.2277
Hg: 0.8163 0.4933 0.7277

Peak list (8 most intense, 10 to 90 degrees two-theta, by intensity)
2theta  intensity
31.30  1000
14.13  698
18.38  547
30.38  535
24.37  459
36.48  438
29.69  376
30.87  369

=====

The following is a theoretical X-ray diffraction stick pattern of MgScCo. It was derived from a structure optimized by DFT (GGA-PBE), using Cu Kα.
Lines closer than 0.1° are merged.

Atomic structure:
abc: 3.5095 3.6740 8.8431
angles: 90.00 101.44 90.00
Element x y z (fractional)
Mg: 0.0000 0.0000 0.0000
Mg: 0.3965 0.5000 0.7907
Sc: 0.6167 0.5000 0.2304
Sc: 0.7819 0.0000 0.5605
Co: 0.1574 0.0000 0.3120
Co: 0.2413 0.5000 0.4789

Peak list (8 most intense, 10 to 90 degrees two-theta, by intensity)
2theta  intensity
10.21  1000
38.75  265
35.76  238
44.23  213
36.43  183
39.69  160
49.63  98
52.12  84

=====

The following is a theoretical X-ray diffraction stick pattern of Pm6Dy3Pu. It was derived from a structure optimized by DFT (GGA-PBE), using Cu Kα.
Lines closer than 0.1° are merged.

Atomic structure:
abc: 6.1670 9.3480 12.9822
angles: 90.00 117.45 90.00
Element x y z (fractional)
Pm: 0.0654 0.1636 0.0713
Pm: 0.0654 0.3364 0.5713
Pm: 0.3831 0.0183 0.7434
Pm: 0.3831 0.4817 0.2434
Pm: 0.4166 0.1590 0.4304
Pm: 0.4166 0.3410 0.9304
Pm: 0.5834 0.6590 0.0696
Pm: 0.5834 0.8410 0.5696
Pm: 0.6169 0.5183 0.7566
Pm: 0.6169 0.9817 0.2566
Pm: 0.9346 0.6636 0.4287
Pm: 0.9346 0.8364 0.9287
Dy: 0.1268 0.6665 0.7492
Dy: 0.1268 0.8335 0.2492
Dy: 0.5000 0.0000 0.0000
Dy: 0.5000 0.5000 0.5000
Dy: 0.8732 0.1665 0.7508
Dy: 0.8732 0.3335 0.2508
Pu: 0.0000 0.0000 0.5000
Pu: 0.0000 0.5000 0.0000

Peak list (8 most intense, 10 to 90 degrees two-theta, by intensity)
2theta  intensity
32.19  1000
30.12  456
28.82  302
28.96  299
29.20  297
31.05  225
33.17  178
56.14  170

=====

The following is a theoretical X-ray diffraction stick pattern of Cs2CaBr3F. It was derived from a structure optimized by DFT (GGA-PBE), using Cu Kα.
Lines closer than 0.1° are merged.

Atomic structure:
abc: 10.2543 10.2543 10.2543
angles: 154.65 146.46 42.51
Element x y z (fractional)
Cs: 0.1497 0.1497 0.0000
Cs: 0.8503 0.8503 0.0000
Ca: 0.5000 0.5000 0.0000
Br: 0.0000 0.5000 0.5000
Br: 0.3430 0.3430 0.0000
Br: 0.6570 0.6570 0.0000
F: 0.5000 0.0000 0.5000

Peak list (8 most intense, 10 to 90 degrees two-theta, by intensity)
2theta  intensity
31.21  1000
24.86  807
30.21  597
28.01  578
26.58  426
41.66  382
37.79  362
54.41  297

=====

The following is a theoretical X-ray diffraction stick pattern of LaCo2Te2. It was derived from a structure optimized by DFT (GGA-PBE), using Cu Kα.
Lines closer than 0.1° are merged.

Atomic structure:
abc: 6.8520 6.8520 6.8520
angles: 144.81 144.81 50.62
Element x y z (fractional)
La: 0.0000 0.0000 0.0000
Co: 0.2500 0.7500 0.5000
Co: 0.7500 0.2500 0.5000
Te: 0.3630 0.3630 0.0000
Te: 0.6370 0.6370 0.0000

Peak list (8 most intense, 10 to 90 degrees two-theta, by intensity)
2theta  intensity
30.56  1000
54.30  476
43.70  312
42.50  276
33.85  250
88.32  162
72.11  104
63.52  100

=====

The following is a theoretical X-ray diffraction stick pattern of Nd4Ag3Pd5. It was derived from a structure optimized by DFT (GGA-PBE), using Cu Kα.
Lines closer than 0.1° are merged.

Atomic structure:
abc: 7.2576 7.2576 10.1579
angles: 121.54 121.54 39.47
Element x y z (fractional)
Nd: 0.0373 0.0373 0.2995
Nd: 0.2459 0.2459 0.7334
Nd: 0.7541 0.7541 0.2666
Nd: 0.9627 0.9627 0.7005
Ag: 0.2211 0.2211 0.0410
Ag: 0.5000 0.5000 0.0000
Ag: 0.7789 0.7789 0.9590
Pd: 0.0000 0.0000 0.0000
Pd: 0.3086 0.3086 0.4954
Pd: 0.4281 0.4281 0.3438
Pd: 0.5719 0.5719 0.6562
Pd: 0.6914 0.6914 0.5046

Peak list (8 most intense, 10 to 90 degrees two-theta, by intensity)
2theta  intensity
36.67  1000
35.94  876
32.70  568
39.03  515
27.92  497
31.51  476
33.63  381
67.31  362

=====

The following is a theoretical X-ray diffraction stick pattern of NaTl3In6. It was derived from a structure optimized by DFT (GGA-PBE), using Cu Kα.
Lines closer than 0.1° are merged.

Atomic structure:
abc: 7.9027 7.9027 7.9027
angles: 113.91 113.91 113.91
Element x y z (fractional)
Na: 0.0000 0.0000 0.0000
Tl: 0.3008 0.3008 0.9333
Tl: 0.3008 0.9333 0.3008
Tl: 0.9333 0.3008 0.3008
In: 0.3350 0.8631 0.8631
In: 0.4704 0.4704 0.7092
In: 0.4704 0.7092 0.4704
In: 0.7092 0.4704 0.4704
In: 0.8631 0.3350 0.8631
In: 0.8631 0.8631 0.3350

Peak list (8 most intense, 10 to 90 degrees two-theta, by intensity)
2theta  intensity
31.88  1000
23.26  811
37.35  800
33.91  670
31.02  493
25.41  421
26.92  353
35.87  316

=====

The following is a theoretical X-ray diffraction stick pattern of GdAg2. It was derived from a structure optimized by DFT (GGA-PBE), using Cu Kα.
Lines closer than 0.1° are merged.

Atomic structure:
abc: 5.4053 5.4053 5.4053
angles: 139.25 139.25 59.00
Element x y z (fractional)
Gd: 0.0000 0.0000 0.0000
Ag: 0.3283 0.3283 0.0000
Ag: 0.6717 0.6717 0.0000

Peak list (8 most intense, 10 to 90 degrees two-theta, by intensity)
2theta  intensity
37.32  1000
33.67  667
62.63  421
48.36  236
69.58  150
79.57  104
80.73  102
82.87  96

=====

The following is a theoretical X-ray diffraction stick pattern of Pr4H2Se5. It was derived from a structure optimized by DFT (GGA-PBE), using Cu Kα.
Lines closer than 0.1° are merged.

Atomic structure:
abc: 8.8382 8.8382 8.0025
angles: 97.38 97.38 28.16
Element x y z (fractional)
Pr: 0.0208 0.0208 0.2555
Pr: 0.2867 0.2867 0.7729
Pr: 0.7133 0.7133 0.2271
Pr: 0.9792 0.9792 0.7445
H: 0.4260 0.4260 0.8042
H: 0.5740 0.5740 0.1958
Se: 0.1406 0.1406 0.9733
Se: 0.1724 0.1724 0.4503
Se: 0.5000 0.5000 0.5000
Se: 0.8276 0.8276 0.5497
Se: 0.8594 0.8594 0.0267

Peak list (8 most intense, 10 to 90 degrees two-theta, by intensity)
2theta  intensity
33.16  1000
35.99  973
21.32  540
27.53  509
42.03  446
16.27  433
24.44  372
35.02  352

=====

The following is a theoretical X-ray diffraction stick pattern of La2CrRu. It was derived from a structure optimized by DFT (GGA-PBE), using Cu Kα.
Lines closer than 0.1° are merged.

Atomic structure:
abc: 3.7262 3.7262 7.3091
angles: 90.00 90.00 90.00
Element x y z (fractional)
La: 0.0000 0.0000 0.0000
La: 0.5000 0.5000 0.4423
Cr: 0.5000 0.5000 0.7526
Ru: 0.0000 0.0000 0.6710

Peak list (8 most intense, 10 to 90 degrees two-theta, by intensity)
2theta  intensity
26.86  1000
34.03  943
44.43  580
12.11  351
48.89  333
34.37  327
68.18  316
56.65  253

=====

The following is a theoretical X-ray diffraction stick pattern of PuMnZn11. It was derived from a structure optimized by DFT (GGA-PBE), using Cu Kα.
Lines closer than 0.1° are merged.

Atomic structure:
abc: 6.8115 6.8115 6.8514
angles: 98.03 98.03 135.49
Element x y z (fractional)
Pu: 0.0000 0.0000 0.0000
Mn: 0.5000 0.5000 0.5000
Zn: 0.0000 0.0000 0.5000
Zn: 0.0000 0.5000 0.0000
Zn: 0.0165 0.3637 0.3552
Zn: 0.2854 0.5024 0.7813
Zn: 0.3637 0.0165 0.3552
Zn: 0.4976 0.7146 0.2187
Zn: 0.5000 0.0000 0.0000
Zn: 0.5024 0.2854 0.7813
Zn: 0.6363 0.9835 0.6448
Zn: 0.7146 0.4976 0.2187
Zn: 0.9835 0.6363 0.6448

Peak list (8 most intense, 10 to 90 degrees two-theta, by intensity)
2theta  intensity
40.25  1000
40.44  711
34.79  422
28.25  304
39.98  261
34.61  221
73.44  208
45.44  163